Entry 1:
This entry pairs a crystal structure of Ba4Sb2O with its calculated powder diffraction line list. Radiation: Cu Kα X-rays. Structure: a PBE-relaxed structure.
Peak positions follow from Bragg's law for the DFT cell and can differ from measured ones.

Peak list (12 most intense, 5° ≤ 2θ ≤ 70°, low angle first)
| 2theta | intensity |
| --- | --- |
| 23.6 | 19 |
| 25.5 | 86 |
| 29.1 | 36 |
| 29.4 | 24 |
| 30.6 | 100 |
| 33.6 | 71 |
| 45.0 | 42 |
| 48.3 | 25 |
| 55.4 | 33 |
| 57.3 | 20 |
| 58.3 | 32 |
| 68.4 | 16 |

Atomic structure:
Cell lengths 9.9621, 9.9621, 9.9621 Å; angles 148.96, 148.96, 44.47 degrees
Fractional positions:
1 Ba 0.0000 0.5000 0.5000
2 Ba 0.1711 0.1711 0.0000
3 Ba 0.5000 0.0000 0.5000
4 Ba 0.8289 0.8289 0.0000
5 Sb 0.3626 0.3626 0.0000
6 Sb 0.6374 0.6374 0.0000
7 O 0.0000 0.0000 0.0000


Entry 2:
This entry pairs a crystal structure of BaSb4O8 with its calculated powder diffraction line list. Radiation: Cu Kα X-rays. Structure: a PBE-relaxed structure.
Peak positions follow from Bragg's law for the DFT cell and can differ from measured ones.

Peak list (12 most intense, 5° ≤ 2θ ≤ 70°, low angle first)
| 2theta | intensity |
| --- | --- |
| 16.3 | 19 |
| 20.5 | 30 |
| 25.0 | 20 |
| 28.4 | 100 |
| 30.0 | 58 |
| 38.2 | 15 |
| 41.8 | 22 |
| 48.0 | 20 |
| 50.3 | 30 |
| 51.3 | 32 |
| 58.8 | 13 |
| 59.7 | 17 |

Atomic structure:
Cell lengths 6.2819, 6.2819, 7.1236 Å; angles 90.00, 90.00, 120.00 degrees
Fractional positions:
1 Ba 0.0000 0.0000 0.0000
2 Sb 0.3333 0.6667 0.2772
3 Sb 0.3333 0.6667 0.7228
4 Sb 0.6667 0.3333 0.2772
5 Sb 0.6667 0.3333 0.7228
6 O 0.0000 0.3443 0.2668
7 O 0.0000 0.6557 0.7332
8 O 0.3333 0.6667 0.0000
9 O 0.3443 0.0000 0.2668
10 O 0.3443 0.3443 0.7332
11 O 0.6557 0.0000 0.7332
12 O 0.6557 0.6557 0.2668
13 O 0.6667 0.3333 0.0000


Entry 3:
This entry pairs a crystal structure of Ba2Sb3O7 with its calculated powder diffraction line list. Radiation: Cu Kα X-rays. Structure: a PBE-relaxed structure.
Peak positions follow from Bragg's law for the DFT cell and can differ from measured ones.

Peak list (12 most intense, 5° ≤ 2θ ≤ 70°, low angle first)
| 2theta | intensity |
| --- | --- |
| 22.7 | 14 |
| 26.3 | 52 |
| 30.4 | 71 |
| 31.4 | 100 |
| 38.4 | 18 |
| 43.4 | 22 |
| 43.6 | 20 |
| 49.8 | 32 |
| 51.5 | 16 |
| 54.6 | 39 |
| 63.2 | 12 |
| 67.9 | 14 |

Atomic structure:
Cell lengths 4.1677, 11.7123, 4.1556 Å; angles 90.00, 90.00, 90.00 degrees
Fractional positions:
1 Ba 0.0000 0.1964 0.0000
2 Ba 0.0000 0.8036 0.0000
3 Sb 0.5000 0.0000 0.5522
4 Sb 0.5000 0.3704 0.4897
5 Sb 0.5000 0.6296 0.4897
6 O 0.0000 0.0000 0.4123
7 O 0.0000 0.3484 0.4899
8 O 0.0000 0.6516 0.4899
9 O 0.5000 0.1835 0.4814
10 O 0.5000 0.3470 0.9879
11 O 0.5000 0.6530 0.9879
12 O 0.5000 0.8165 0.4814


Entry 4:
This entry pairs a crystal structure of Ba2ScSbO6 with its calculated powder diffraction line list. Radiation: Cu Kα X-rays. Structure: a PBE-relaxed structure.
Peak positions follow from Bragg's law for the DFT cell and can differ from measured ones.

Peak list (12 most intense, 5° ≤ 2θ ≤ 70°, low angle first)
| 2theta | intensity |
| --- | --- |
| 16.3 | 8 |
| 18.8 | 13 |
| 26.7 | 100 |
| 31.4 | 5 |
| 38.2 | 34 |
| 41.7 | 2 |
| 42.9 | 6 |
| 47.2 | 42 |
| 55.1 | 22 |
| 58.7 | 3 |
| 62.2 | 19 |
| 69.0 | 7 |

Atomic structure:
Cell lengths 6.6721, 6.6721, 6.6721 Å; angles 60.00, 60.00, 60.00 degrees
Fractional positions:
1 Ba 0.2500 0.2500 0.2500
2 Ba 0.7500 0.7500 0.7500
3 Sc 0.0000 0.0000 0.0000
4 Sb 0.5000 0.5000 0.5000
5 O 0.0000 0.0000 0.5000
6 O 0.0000 0.5000 0.0000
7 O 0.0000 0.5000 0.5000
8 O 0.5000 0.0000 0.0000
9 O 0.5000 0.0000 0.5000
10 O 0.5000 0.5000 0.0000


Entry 5:
This entry pairs a crystal structure of Ba2SmSbO6 with its calculated powder diffraction line list. Radiation: Cu Kα X-rays. Structure: a PBE-relaxed structure.
Peak positions follow from Bragg's law for the DFT cell and can differ from measured ones.

Peak list (8 most intense, 5° ≤ 2θ ≤ 70°, low angle first)
| 2theta | intensity |
| --- | --- |
| 20.6 | 1 |
| 29.3 | 100 |
| 34.5 | 1 |
| 36.1 | 1 |
| 41.9 | 29 |
| 51.9 | 41 |
| 60.8 | 18 |
| 68.9 | 18 |

Atomic structure:
Cell lengths 6.0976, 6.0976, 6.0976 Å; angles 60.00, 60.00, 60.00 degrees
Fractional positions:
1 Ba 0.2500 0.2500 0.2500
2 Ba 0.7500 0.7500 0.7500
3 Sm 0.0000 0.0000 0.0000
4 Sb 0.5000 0.5000 0.5000
5 O 0.2660 0.2660 0.7340
6 O 0.2660 0.7340 0.2660
7 O 0.2660 0.7340 0.7340
8 O 0.7340 0.2660 0.2660
9 O 0.7340 0.2660 0.7340
10 O 0.7340 0.7340 0.2660


Entry 6:
This entry pairs a crystal structure of Ba2SmSbO6 with its calculated powder diffraction line list. Radiation: Cu Kα X-rays. Structure: a PBE-relaxed structure.
Peak positions follow from Bragg's law for the DFT cell and can differ from measured ones.

Peak list (8 most intense, 5° ≤ 2θ ≤ 70°, low angle first)
| 2theta | intensity |
| --- | --- |
| 20.6 | 1 |
| 29.3 | 100 |
| 34.5 | 1 |
| 36.1 | 1 |
| 41.9 | 29 |
| 51.9 | 41 |
| 60.7 | 18 |
| 68.8 | 18 |

Atomic structure:
Cell lengths 8.6257, 8.6257, 8.6257 Å; angles 90.00, 90.00, 90.00 degrees
Fractional positions:
1 Ba 0.2500 0.2500 0.2500
2 Ba 0.2500 0.2500 0.7500
3 Ba 0.2500 0.7500 0.2500
4 Ba 0.2500 0.7500 0.7500
5 Ba 0.7500 0.2500 0.2500
6 Ba 0.7500 0.2500 0.7500
7 Ba 0.7500 0.7500 0.2500
8 Ba 0.7500 0.7500 0.7500
9 Sm 0.0000 0.0000 0.0000
10 Sm 0.0000 0.5000 0.5000
11 Sm 0.5000 0.0000 0.5000
12 Sm 0.5000 0.5000 0.0000
13 Sb 0.0000 0.0000 0.5000
14 Sb 0.0000 0.5000 0.0000
15 Sb 0.5000 0.0000 0.0000
16 Sb 0.5000 0.5000 0.5000
17 O 0.0120 0.5134 0.7662
18 O 0.0120 0.9866 0.7338
19 O 0.0134 0.2338 0.5120
20 O 0.0134 0.2662 0.9880
21 O 0.2338 0.5120 0.0134
22 O 0.2338 0.9880 0.4866
23 O 0.2662 0.5120 0.4866
24 O 0.2662 0.9880 0.0134
25 O 0.4866 0.2338 0.9880
26 O 0.4866 0.2662 0.5120
27 O 0.4880 0.5134 0.7338
28 O 0.4880 0.9866 0.7662
29 O 0.5120 0.0134 0.2338
30 O 0.5120 0.4866 0.2662
31 O 0.5134 0.7338 0.4880
32 O 0.5134 0.7662 0.0120
33 O 0.7338 0.0120 0.9866
34 O 0.7338 0.4880 0.5134
35 O 0.7662 0.0120 0.5134
36 O 0.7662 0.4880 0.9866
37 O 0.9866 0.7338 0.0120
38 O 0.9866 0.7662 0.4880
39 O 0.9880 0.0134 0.2662
40 O 0.9880 0.4866 0.2338


Entry 7:
This entry pairs a crystal structure of BaSrSmSbO6 with its calculated powder diffraction line list. Radiation: Cu Kα X-rays. Structure: a PBE-relaxed structure.
Peak positions follow from Bragg's law for the DFT cell and can differ from measured ones.

Peak list (12 most intense, 5° ≤ 2θ ≤ 70°, low angle first)
| 2theta | intensity |
| --- | --- |
| 17.9 | 2 |
| 20.7 | 4 |
| 29.5 | 100 |
| 34.7 | 2 |
| 42.2 | 30 |
| 46.2 | 1 |
| 47.5 | 2 |
| 52.3 | 40 |
| 55.8 | 1 |
| 61.2 | 19 |
| 65.4 | 1 |
| 69.4 | 18 |

Atomic structure:
Cell lengths 6.0583, 6.0583, 6.0583 Å; angles 60.00, 60.00, 60.00 degrees
Fractional positions:
1 Ba 0.0000 0.0000 0.0000
2 Sr 0.5000 0.5000 0.5000
3 Sm 0.7500 0.7500 0.7500
4 Sb 0.2500 0.2500 0.2500
5 O 0.0158 0.0158 0.4842
6 O 0.0158 0.4842 0.0158
7 O 0.0158 0.4842 0.4842
8 O 0.4842 0.0158 0.0158
9 O 0.4842 0.0158 0.4842
10 O 0.4842 0.4842 0.0158


Entry 8:
This entry pairs a crystal structure of BaSrSmSbO6 with its calculated powder diffraction line list. Radiation: Cu Kα X-rays. Structure: a PBE-relaxed structure.
Peak positions follow from Bragg's law for the DFT cell and can differ from measured ones.

Peak list (12 most intense, 5° ≤ 2θ ≤ 70°, low angle first)
| 2theta | intensity |
| --- | --- |
| 20.8 | 5 |
| 29.6 | 100 |
| 29.8 | 20 |
| 42.3 | 11 |
| 42.4 | 23 |
| 52.5 | 25 |
| 52.6 | 8 |
| 52.7 | 17 |
| 61.4 | 3 |
| 61.5 | 13 |
| 69.7 | 10 |
| 69.8 | 7 |

Atomic structure:
Cell lengths 6.0288, 6.0339, 8.5194 Å; angles 90.27, 90.28, 90.15 degrees
Fractional positions:
1 Ba 0.0038 0.0171 0.2499
2 Ba 0.9962 0.9829 0.7501
3 Sr 0.4955 0.5283 0.2520
4 Sr 0.5045 0.4717 0.7480
5 Sm 0.0000 0.5000 0.5000
6 Sm 0.5000 0.0000 0.0000
7 Sb 0.0000 0.5000 0.0000
8 Sb 0.5000 0.0000 0.5000
9 O 0.0727 0.5002 0.7676
10 O 0.2080 0.7588 0.0311
11 O 0.2403 0.7921 0.4758
12 O 0.2615 0.2962 0.0393
13 O 0.3007 0.2663 0.4632
14 O 0.4479 0.0305 0.7330
15 O 0.5521 0.9695 0.2670
16 O 0.6993 0.7337 0.5368
17 O 0.7385 0.7038 0.9607
18 O 0.7597 0.2079 0.5242
19 O 0.7920 0.2412 0.9689
20 O 0.9273 0.4998 0.2324